# 1
# BaNa2
Computed XRD peak list, Cu Ka. Input: a structure optimized by DFT (GGA-PBE).

Peak list (8 most intense, 2θ = 10–90°, most intense first)
| 2θ (°) | Rel. int. |
| --- | --- |
| 26.59 | 100 |
| 28.69 | 88 |
| 24.35 | 81 |
| 44.24 | 49 |
| 13.99 | 38 |
| 29.19 | 33 |
| 40.63 | 31 |
| 47.93 | 28 |

Structural model:
```
data_BaNa2
_space_group_name_H-M_alt 'P 63/m m c'
_space_group_IT_number 194
_space_group_name_Hall '-P 6c 2c'
_cell_length_a 7.3118
_cell_length_b 7.3118
_cell_length_c 11.8574
_cell_angle_alpha 90.00
_cell_angle_beta 90.00
_cell_angle_gamma 120.00
loop_
_atom_site_label
_atom_site_type_symbol
_atom_site_fract_x
_atom_site_fract_y
_atom_site_fract_z
Ba1 Ba 0.3333 0.6667 0.0614
Na1 Na 0.0000 0.0000 0.0000
Na2 Na 0.1691 0.3382 0.7500
```



# 2
# BaNa
Computed XRD peak list, Cu Ka. Input: a structure optimized by DFT (GGA-PBE).

Peak list (8 most intense, 2θ = 10–90°, most intense first)
| 2θ (°) | Rel. int. |
| --- | --- |
| 25.96 | 100 |
| 28.30 | 63 |
| 19.91 | 48 |
| 29.63 | 27 |
| 35.96 | 22 |
| 46.67 | 21 |
| 30.06 | 19 |
| 48.70 | 18 |

Structural model:
a = 17.8367 Å, b = 17.8367 Å, c = 17.8367 Å
α = 90.00°, β = 90.00°, γ = 90.00°
Space group Fd-3m (No. 227, origin choice 2)
Symmetry-distinct sites (fractional):
1 Ba 0.0000 0.0000 0.0000
2 Ba 0.0326 0.0326 0.2174
3 Na 0.0867 0.3750 0.8750



# 3
# BaNa
Computed XRD peak list, Cu Ka. Input: a structure optimized by DFT (GGA-PBE).

Peak list (8 most intense, 2θ = 10–90°, most intense first)
| 2θ (°) | Rel. int. |
| --- | --- |
| 27.26 | 100 |
| 45.27 | 66 |
| 25.67 | 65 |
| 20.90 | 45 |
| 22.80 | 40 |
| 29.73 | 28 |
| 37.79 | 25 |
| 43.58 | 22 |

Structural model:
a = 16.9987 Å, b = 16.9987 Å, c = 16.9987 Å
α = 90.00°, β = 90.00°, γ = 90.00°
Space group Fd-3m (No. 227, origin choice 2)
Symmetry-distinct sites (fractional):
1 Ba 0.0691 0.3750 0.3750
2 Na 0.0000 0.0000 0.5000
3 Na 0.0463 0.0463 0.7037